1.
Starting from a GGA-PBE-relaxed structure, the XRD peak list of Ca5In6 was calculated for Cu Ka.
No peak broadening, texture or thermal motion is included.

Peak list (10 most intense, 2θ = 10–80°, by angle)
Position (°2θ)	I/Imax
23.4	15.2
23.7	43.2
30.5	15.9
33.4	35.2
33.6	100.0
34.2	23.0
36.0	14.1
48.5	16.4
54.6	12.5
59.8	17.6

Structural model:
```
Ca5In6
1.0
-2.6837 3.7938 7.8664
2.6837 -3.7938 7.8664
2.6837 3.7938 -7.8664
Ca In
5 6
Direct
0.0000 0.0000 0.0000
0.1580 0.6580 0.5000
0.3114 0.3114 0.0000
0.6886 0.6886 0.0000
0.8420 0.3420 0.5000
0.1427 0.8527 0.2900
0.2995 0.5000 0.7995
0.4373 0.1473 0.2900
0.5627 0.8527 0.7100
0.7005 0.5000 0.2005
0.8573 0.1473 0.7100
```

=====

2.
Starting from a GGA-PBE-relaxed structure, the XRD peak list of AlRuPb2S was calculated for Cu Ka.
No peak broadening, texture or thermal motion is included.

Peak list (10 most intense, 2θ = 10–80°, by angle)
Position (°2θ)	I/Imax
20.6	91.7
22.7	41.1
30.8	91.9
32.3	100.0
38.6	77.8
46.3	36.9
51.2	35.2
53.9	47.2
56.7	33.9
64.2	29.6

Structural model:
```
AlRuPb2S
1.0
5.5435 0.0000 0.0000
0.0000 5.5435 0.0000
0.0000 0.0000 4.3104
Al Ru Pb S
1 1 2 1
Direct
0.0000 0.0000 0.0000
0.5000 0.5000 0.5000
0.0000 0.5000 0.5000
0.5000 0.0000 0.5000
0.5000 0.5000 0.0000
```

=====

3.
Starting from a GGA-PBE-relaxed structure, the XRD peak list of Ac3Si4Au was calculated for Cu Ka.
No peak broadening, texture or thermal motion is included.

Peak list (10 most intense, 2θ = 10–80°, by angle)
Position (°2θ)	I/Imax
22.7	28.3
26.5	100.0
30.4	18.8
33.1	18.2
34.1	14.1
37.3	18.0
39.8	11.8
46.5	10.7
51.7	17.1
52.7	19.6

Structural model:
```
Ac3Si4Au
1.0
4.8264 0.0000 0.0000
0.0000 5.8814 0.0000
0.0000 0.0000 15.6985
Ac Si Au
6 8 2
Direct
0.0000 0.0000 0.0000
0.0000 0.5000 0.1905
0.0000 0.5000 0.8095
0.5000 0.0000 0.3095
0.5000 0.0000 0.6905
0.5000 0.5000 0.5000
0.0000 0.2963 0.3826
0.0000 0.2963 0.6174
0.0000 0.7037 0.3826
0.0000 0.7037 0.6174
0.5000 0.2037 0.1174
0.5000 0.2037 0.8826
0.5000 0.7963 0.1174
0.5000 0.7963 0.8826
0.0000 0.0000 0.5000
0.5000 0.5000 0.0000
```

=====

4.
Starting from a GGA-PBE-relaxed structure, the XRD peak list of Cs3HfF7 was calculated for Cu Ka.
No peak broadening, texture or thermal motion is included.

Peak list (10 most intense, 2θ = 10–80°, by angle)
Position (°2θ)	I/Imax
23.8	50.5
24.8	48.6
25.0	100.0
26.7	69.8
32.0	19.7
37.2	24.2
39.0	20.4
41.5	26.7
42.7	19.2
45.9	19.8

Structural model:
```
Cs3HfF7
1.0
4.8332 -4.6230 0.0000
4.8332 4.6230 0.0000
-4.6113 0.0000 5.6012
Cs Hf F
3 1 7
Direct
0.0000 0.0000 0.0000
0.2656 0.7475 0.5477
0.7475 0.2656 0.5477
0.5425 0.5425 0.0966
0.2355 0.5049 0.8059
0.3794 0.3794 0.1849
0.3903 0.8175 0.2229
0.5049 0.2355 0.8059
0.7056 0.7056 0.0105
0.7836 0.7836 0.4603
0.8175 0.3903 0.2229
```

=====

5.
Starting from a GGA-PBE-relaxed structure, the XRD peak list of LiTbCeRu was calculated for Cu Ka.
No peak broadening, texture or thermal motion is included.

Peak list (10 most intense, 2θ = 10–80°, by angle)
Position (°2θ)	I/Imax
22.0	14.9
25.4	26.9
36.3	100.0
42.8	7.6
44.8	8.0
52.2	17.5
57.3	3.1
58.9	10.8
65.2	35.7
77.0	11.0

Structural model:
```
LiTbCeRu
1.0
7.0083 0.0000 0.0000
0.0000 7.0083 0.0000
0.0000 0.0000 7.0083
Li Tb Ce Ru
4 4 4 4
Direct
0.0000 0.0000 0.0000
0.0000 0.5000 0.5000
0.5000 0.0000 0.5000
0.5000 0.5000 0.0000
0.2500 0.2500 0.7500
0.2500 0.7500 0.2500
0.7500 0.2500 0.2500
0.7500 0.7500 0.7500
0.2500 0.2500 0.2500
0.2500 0.7500 0.7500
0.7500 0.2500 0.7500
0.7500 0.7500 0.2500
0.0000 0.0000 0.5000
0.0000 0.5000 0.0000
0.5000 0.0000 0.0000
0.5000 0.5000 0.5000
```